Structure and simulated powder diffraction line list of Sr2DyCu2Bi2O8 (a GGA-PBE-relaxed structure; Cu Kα (weighted mean of Kα1 and Kα2)).
Peak positions follow from Bragg's law for the DFT cell and can differ from measured ones.

Principal peaks in the range 10° ≤ 2θ ≤ 90°, sorted by position:
11.6 deg, rel. 24.1; 24.8 deg, rel. 48.2; 27.4 deg, rel. 52.9; 29.2 deg, rel. 21.2; 31.0 deg, rel. 100.0; 32.5 deg, rel. 47.5; 33.5 deg, rel. 46.9; 35.2 deg, rel. 32.0; 45.0 deg, rel. 21.0; 47.4 deg, rel. 43.4

Atomic structure:
```
30
Lattice="2.7555 -15.2977 0.0000 2.7555 15.2977 0.0000 0.0000 0.0000 5.3467" Properties=species:S:1:pos:R:3 pbc="T T T"
Sr 1.3568 4.2070 0.0000
Sr 1.3568 -4.2070 2.6733
Sr 4.1541 4.2070 2.6733
Sr 4.1541 -4.2070 0.0000
Dy 1.3777 7.6488 0.0000
Dy 1.3777 -7.6488 2.6733
Cu 1.3783 6.1187 2.6733
Cu 1.3783 -6.1187 0.0000
Cu 4.1326 6.1187 0.0000
Cu 4.1326 -6.1187 2.6733
Bi 1.4690 1.4507 2.6733
Bi 1.4690 -1.4507 0.0000
Bi 4.0420 1.4507 0.0000
Bi 4.0420 -1.4507 2.6733
O 1.2335 3.5536 2.6733
O 2.7555 9.0957 1.3367
O 2.7555 9.0957 4.0100
O 1.8779 1.5565 0.0000
O 2.7555 6.1520 1.3367
O 2.7555 6.1520 4.0100
O 1.2335 -3.5536 0.0000
O 1.8779 -1.5565 2.6733
O 3.6330 1.5565 2.6733
O 4.2775 3.5536 0.0000
O 2.7555 -6.1520 1.3367
O 2.7555 -6.1520 4.0100
O 3.6330 -1.5565 0.0000
O 2.7555 -9.0957 1.3367
O 2.7555 -9.0957 4.0100
O 4.2775 -3.5536 2.6733
```

=====

Structure and simulated powder diffraction line list of CaZr2Ge2 (a GGA-PBE-relaxed structure; Cu Kα (weighted mean of Kα1 and Kα2)).
Peak positions follow from Bragg's law for the DFT cell and can differ from measured ones.

Principal peaks in the range 10° ≤ 2θ ≤ 90°, sorted by position:
16.7 deg, rel. 15.1; 33.7 deg, rel. 15.7; 35.9 deg, rel. 100.0; 37.8 deg, rel. 32.6; 48.6 deg, rel. 11.7; 50.0 deg, rel. 9.9; 56.1 deg, rel. 9.4; 63.1 deg, rel. 13.7; 72.2 deg, rel. 17.3; 82.3 deg, rel. 8.6

Atomic structure:
```
10
Lattice="7.5226 0.0000 0.0000 0.0000 7.5226 0.0000 0.0000 0.0000 3.7492" Properties=species:S:1:pos:R:3 pbc="T T T"
Ca 0.0000 0.0000 0.0000
Ca 3.7613 3.7613 0.0000
Zr 1.2285 2.5328 1.8746
Zr 2.5328 6.2941 1.8746
Zr 4.9898 1.2285 1.8746
Zr 6.2941 4.9898 1.8746
Ge 0.9927 4.7540 0.0000
Ge 2.7687 0.9927 0.0000
Ge 4.7540 6.5300 0.0000
Ge 6.5300 2.7687 0.0000
```

=====

Structure and simulated powder diffraction line list of AsSeNF2 (a GGA-PBE-relaxed structure; Cu Kα (weighted mean of Kα1 and Kα2)).
Peak positions follow from Bragg's law for the DFT cell and can differ from measured ones.

Principal peaks in the range 10° ≤ 2θ ≤ 90°, sorted by position:
29.8 deg, rel. 100.0; 31.9 deg, rel. 35.0; 39.4 deg, rel. 24.8; 45.8 deg, rel. 31.6; 51.6 deg, rel. 18.4; 55.6 deg, rel. 35.1; 62.0 deg, rel. 23.6; 65.7 deg, rel. 10.7; 80.4 deg, rel. 10.7; 83.7 deg, rel. 11.2

Atomic structure:
```
5
Lattice="3.9640 0.0000 0.0000 0.0000 3.9640 0.0000 0.0000 0.0000 4.5699" Properties=species:S:1:pos:R:3 pbc="T T T"
As 0.0000 0.0000 0.0000
Se 1.9820 1.9820 2.2849
N 0.0000 0.0000 2.2849
F 0.0000 1.9820 0.0000
F 1.9820 0.0000 0.0000
```

=====

Structure and simulated powder diffraction line list of K3HoTm3Te8 (a GGA-PBE-relaxed structure; Cu Kα (weighted mean of Kα1 and Kα2)).
Peak positions follow from Bragg's law for the DFT cell and can differ from measured ones.

Principal peaks in the range 10° ≤ 2θ ≤ 90°, sorted by position:
10.4 deg, rel. 66.6; 27.5 deg, rel. 100.0; 34.2 deg, rel. 24.4; 36.9 deg, rel. 36.2; 41.5 deg, rel. 35.2; 42.9 deg, rel. 13.6; 45.9 deg, rel. 16.0; 50.5 deg, rel. 18.4; 60.9 deg, rel. 11.0; 67.4 deg, rel. 15.3

Atomic structure:
```
15
Lattice="7.5350 -4.3469 0.0000 7.5350 4.3469 0.0000 -5.0240 0.0000 8.5073" Properties=species:S:1:pos:R:3 pbc="T T T"
K 0.0000 0.0000 0.0000
K 3.7675 2.1735 0.0000
K 3.7675 -2.1735 0.0000
Ho -2.5120 0.0000 4.2537
Tm 1.2555 2.1735 4.2537
Tm 1.2555 -2.1735 4.2537
Tm 5.0230 0.0000 4.2537
Te 0.0315 0.0000 6.0121
Te 3.7522 2.1459 6.0126
Te 2.5111 0.0000 2.4978
Te 6.2938 2.1459 2.4947
Te 3.7522 -2.1459 6.0126
Te 7.5349 0.0000 6.0096
Te 6.2938 -2.1459 2.4947
Te 10.0144 0.0000 2.4952
```